No. 1
Starting from a crystal structure in OQMD, relaxed with GGA-PBE, the X-ray diffraction stick pattern of K2Rb4Pd2O5 was computed for CuKα.
Intensities are scaled so that the largest is 100.

Atomic structure:
```
data_K2Rb4Pd2O5
_chemical_formula_sum 'K4 Rb8 Pd4 O10'
_symmetry_space_group_name_H-M 'C 1 2/m 1'
_symmetry_Int_Tables_number 12
_symmetry_space_group_name_Hall '-C 2y'
_cell_length_a 6.922
_cell_length_b 11.874
_cell_length_c 6.857
_cell_angle_alpha 90.00
_cell_angle_beta 90.47
_cell_angle_gamma 90.00
loop_
_atom_site_label
_atom_site_type_symbol
_atom_site_fract_x
_atom_site_fract_y
_atom_site_fract_z
_atom_site_occupancy
K1 K 0.000 0.213 0.000 1
Rb1 Rb 0.000 0.238 0.500 1
Rb2 Rb 0.172 0.500 0.194 1
Pd1 Pd 0.206 0.000 0.299 1
O1 O 0.000 0.000 0.500 1
O2 O 0.195 0.351 0.790 1
```

Peak list (8 most intense, 2θ = 15–90°, by intensity)
(0 4 0), 30.1°, intensity 100
(2 2 0), 29.9°, intensity 52
(2 0 2), 37.0°, intensity 28
(2 2 -1), 32.6°, intensity 21
(2 0 -2), 36.7°, intensity 17
(1 1 1), 19.8°, intensity 16
(1 5 2), 48.5°, intensity 15
(0 6 2), 53.5°, intensity 13

No. 2
Starting from a crystal structure in OQMD, relaxed with GGA-PBE, the X-ray diffraction stick pattern of K2Sb2Pd2O7 was computed for CuKα.
Intensities are scaled so that the largest is 100.

Atomic structure:
```
data_K2Sb2Pd2O7
_chemical_formula_sum 'K2 Sb2 Pd2 O7'
_symmetry_space_group_name_H-M 'P -3 m 1'
_symmetry_Int_Tables_number 164
_symmetry_space_group_name_Hall '-P 3 2"'
_cell_length_a 6.0613
_cell_length_b 6.0613
_cell_length_c 7.6010
_cell_angle_alpha 90.00
_cell_angle_beta 90.00
_cell_angle_gamma 120.00
loop_
_atom_site_label
_atom_site_type_symbol
_atom_site_fract_x
_atom_site_fract_y
_atom_site_fract_z
_atom_site_occupancy
K1 K 0.3333 0.6667 0.1161 1
Sb1 Sb 0.3333 0.6667 0.6512 1
Pd1 Pd 0.0000 0.0000 0.2417 1
O1 O 0.0000 0.0000 0.5000 1
O2 O 0.1868 0.3736 0.8117 1
```

Peak list (8 most intense, 2θ = 15–90°, by intensity)
(1 1 0), 29.5°, intensity 100
(1 0 2), 29.0°, intensity 64
(1 0 1), 20.6°, intensity 46
(0 2 2), 41.8°, intensity 33
(2 1 2), 52.0°, intensity 30
(0 0 2), 23.4°, intensity 25
(1 1 2), 38.0°, intensity 22
(1 0 4), 51.1°, intensity 20

No. 3
Starting from a crystal structure in OQMD, relaxed with GGA-PBE, the X-ray diffraction stick pattern of K2Te2PdO8 was computed for CuKα.
Intensities are scaled so that the largest is 100.

Atomic structure:
```
data_K2Te2PdO8
_chemical_formula_sum 'K2 Te2 Pd1 O8'
_symmetry_space_group_name_H-M 'P -1'
_symmetry_Int_Tables_number 2
_symmetry_space_group_name_Hall '-P 1'
_cell_length_a 5.155
_cell_length_b 6.243
_cell_length_c 7.743
_cell_angle_alpha 70.87
_cell_angle_beta 83.74
_cell_angle_gamma 76.41
loop_
_atom_site_label
_atom_site_type_symbol
_atom_site_fract_x
_atom_site_fract_y
_atom_site_fract_z
_atom_site_occupancy
K1 K 0.208 0.254 0.333 1
Te1 Te 0.431 0.286 0.776 1
Pd1 Pd 0.000 0.000 0.000 1
O1 O 0.217 0.719 0.178 1
O2 O 0.255 0.199 0.008 1
O3 O 0.308 0.591 0.653 1
O4 O 0.384 0.086 0.662 1
```

Peak list (8 most intense, 2θ = 15–90°, by intensity)
(0 1 1), 16.3°, intensity 100
(0 1 2), 24.4°, intensity 65
(1 1 -1), 26.9°, intensity 49
(1 -1 0), 25.9°, intensity 36
(1 0 -2), 30.8°, intensity 36
(2 1 1), 35.9°, intensity 33
(1 0 2), 29.8°, intensity 29
(1 -1 1), 30.5°, intensity 26

No. 4
Starting from a crystal structure in OQMD, relaxed with GGA-PBE, the X-ray diffraction stick pattern of KPm2O4 was computed for CuKα.
Intensities are scaled so that the largest is 100.

Atomic structure:
a b c (Å): 10.236 10.236 10.236
angles (deg): 90.00 90.00 90.00
Space group Fd-3m (No. 227, origin choice 2)
One atom of each set of equivalent atoms:
K 0.125 0.125 0.125
Pm 0.000 0.000 0.500
O 0.021 0.021 0.729

Peak list (8 most intense, 2θ = 15–90°, by intensity)
(3 1 1), 28.9°, intensity 100
(2 2 2), 30.2°, intensity 54
(4 4 0), 50.4°, intensity 51
(4 0 0), 35.1°, intensity 50
(5 1 1), 46.1°, intensity 44
(6 2 2), 59.9°, intensity 29
(5 3 1), 52.9°, intensity 21
(5 5 3), 70.7°, intensity 21

No. 5
Starting from a crystal structure in OQMD, relaxed with GGA-PBE, the X-ray diffraction stick pattern of KPmTeO was computed for CuKα.
Intensities are scaled so that the largest is 100.

Atomic structure:
```
data_KPmTeO
_chemical_formula_sum 'K4 Pm4 Te4 O4'
_symmetry_space_group_name_H-M 'P 1 21/c 1'
_symmetry_Int_Tables_number 14
_symmetry_space_group_name_Hall '-P 2ybc'
_cell_length_a 9.191
_cell_length_b 7.683
_cell_length_c 6.833
_cell_angle_alpha 90.00
_cell_angle_beta 101.32
_cell_angle_gamma 90.00
loop_
_atom_site_label
_atom_site_type_symbol
_atom_site_fract_x
_atom_site_fract_y
_atom_site_fract_z
_atom_site_occupancy
K1 K 0.134 0.096 0.318 1
Pm1 Pm 0.487 0.637 0.787 1
Te1 Te 0.243 0.568 0.360 1
O1 O 0.427 0.141 0.383 1
```

Peak list (8 most intense, 2θ = 15–90°, by intensity)
(1 2 -1), 27.6°, intensity 100
(1 0 2), 30.2°, intensity 53
(2 2 1), 35.0°, intensity 51
(2 2 -1), 31.8°, intensity 47
(0 0 2), 26.6°, intensity 33
(3 1 -1), 32.3°, intensity 31
(1 2 -3), 46.4°, intensity 29
(3 0 0), 29.7°, intensity 29

No. 6
Starting from a crystal structure in OQMD, relaxed with GGA-PBE, the X-ray diffraction stick pattern of KPtO3 was computed for CuKα.
Intensities are scaled so that the largest is 100.

Atomic structure:
```
data_KPtO3
_chemical_formula_sum 'K6 Pt6 O18'
_symmetry_space_group_name_H-M 'R -3 c'
_symmetry_Int_Tables_number 167
_symmetry_space_group_name_Hall '-R 3 2"c'
_cell_length_a 5.6925
_cell_length_b 5.6925
_cell_length_c 13.4146
_cell_angle_alpha 90.00
_cell_angle_beta 90.00
_cell_angle_gamma 120.00
loop_
_atom_site_label
_atom_site_type_symbol
_atom_site_fract_x
_atom_site_fract_y
_atom_site_fract_z
_atom_site_occupancy
K1 K 0.0000 0.0000 0.2500 1
Pt1 Pt 0.0000 0.0000 0.0000 1
O1 O 0.0000 0.4349 0.2500 1
```

Peak list (8 most intense, 2θ = 15–90°, by intensity)
(0 1 2), 22.4°, intensity 100
(1 1 0), 31.4°, intensity 73
(1 0 4), 32.3°, intensity 71
(0 2 4), 45.7°, intensity 41
(2 1 4), 56.5°, intensity 30
(1 1 6), 52.0°, intensity 23
(1 2 2), 50.9°, intensity 22
(3 0 0), 56.0°, intensity 17

No. 7
Starting from a crystal structure in OQMD, relaxed with GGA-PBE, the X-ray diffraction stick pattern of KPtO3 was computed for CuKα.
Intensities are scaled so that the largest is 100.

Atomic structure:
```
data_KPtO3
_chemical_formula_sum 'K1 Pt1 O3'
_symmetry_space_group_name_H-M 'P 4 m m'
_symmetry_Int_Tables_number 99
_symmetry_space_group_name_Hall 'P 4 -2'
_cell_length_a 3.909
_cell_length_b 3.909
_cell_length_c 4.281
_cell_angle_alpha 90.00
_cell_angle_beta 90.00
_cell_angle_gamma 90.00
loop_
_atom_site_label
_atom_site_type_symbol
_atom_site_fract_x
_atom_site_fract_y
_atom_site_fract_z
_atom_site_occupancy
K1 K 0.000 0.000 0.000 1
Pt1 Pt 0.500 0.500 0.472 1
O1 O 0.000 0.500 0.553 1
O2 O 0.500 0.500 0.020 1
```

Peak list (8 most intense, 2θ = 15–90°, by intensity)
(1 0 1), 31.0°, intensity 100
(1 0 0), 22.7°, intensity 65
(1 1 0), 32.4°, intensity 44
(0 0 1), 20.7°, intensity 39
(2 1 1), 56.9°, intensity 36
(2 0 0), 46.5°, intensity 27
(1 1 2), 54.2°, intensity 23
(1 0 2), 48.5°, intensity 18

No. 8
Starting from a crystal structure in OQMD, relaxed with GGA-PBE, the X-ray diffraction stick pattern of KPtO3 was computed for CuKα.
Intensities are scaled so that the largest is 100.

Atomic structure:
a b c (Å): 10.417 10.417 10.417
angles (deg): 90.00 90.00 90.00
Space group Fd-3m (No. 227, origin choice 2)
One atom of each set of equivalent atoms:
K 0.000 0.000 0.000
Pt 0.000 0.000 0.500
O 0.074 0.375 0.875

Peak list (8 most intense, 2θ = 15–90°, by intensity)
(2 2 2), 29.7°, intensity 100
(4 4 0), 49.5°, intensity 44
(6 2 2), 58.8°, intensity 43
(3 1 1), 28.4°, intensity 37
(4 0 0), 34.4°, intensity 35
(6 6 2), 80.4°, intensity 17
(5 3 1), 51.9°, intensity 16
(8 4 0), 82.9°, intensity 15

What did the fourth record say?
Starting from a crystal structure in OQMD, relaxed with GGA-PBE, the X-ray diffraction stick pattern of KPm2O4 was computed for CuKα.
Intensities are scaled so that the largest is 100.

Atomic structure:
a b c (Å): 10.236 10.236 10.236
angles (deg): 90.00 90.00 90.00
Space group Fd-3m (No. 227, origin choice 2)
One atom of each set of equivalent atoms:
K 0.125 0.125 0.125
Pm 0.000 0.000 0.500
O 0.021 0.021 0.729

Peak list (8 most intense, 2θ = 15–90°, by intensity)
(3 1 1), 28.9°, intensity 100
(2 2 2), 30.2°, intensity 54
(4 4 0), 50.4°, intensity 51
(4 0 0), 35.1°, intensity 50
(5 1 1), 46.1°, intensity 44
(6 2 2), 59.9°, intensity 29
(5 3 1), 52.9°, intensity 21
(5 5 3), 70.7°, intensity 21

> Number 7 is which compound?

KPtO3